No. 1
For TeS3N2, a GGA-PBE-relaxed structure gives the computed powder diffractogram in this record (Cu Kα (weighted mean of Kα1 and Kα2)).
Lines closer than 0.1° are merged.

Largest 8 diffraction maxima, sorted by position, 15 to 90 degrees two-theta:
d [Å], I_rel
5.771, 34
4.717, 100
3.186, 35
3.086, 21
3.074, 27
2.791, 24
2.529, 21
2.211, 19

Cell and atoms:
```
TeS3N2
1.0
7.638 0.000 0.000
0.000 11.543 0.000
0.000 0.000 7.020
Te S N
4 12 8
Direct
0.195 0.250 0.109 Te
0.305 0.750 0.609 Te
0.695 0.250 0.391 Te
0.805 0.750 0.891 Te
0.009 0.541 0.881 S
0.009 0.959 0.881 S
0.042 0.750 0.357 S
0.458 0.250 0.857 S
0.491 0.041 0.381 S
0.491 0.459 0.381 S
0.509 0.541 0.619 S
0.509 0.959 0.619 S
0.542 0.750 0.143 S
0.958 0.250 0.643 S
0.991 0.041 0.119 S
0.991 0.459 0.119 S
0.137 0.641 0.442 N
0.137 0.859 0.442 N
0.363 0.141 0.942 N
0.363 0.359 0.942 N
0.637 0.641 0.058 N
0.637 0.859 0.058 N
0.863 0.141 0.558 N
0.863 0.359 0.558 N
```

=====

No. 2
For CsK, a GGA-PBE-relaxed structure gives the computed powder diffractogram in this record (Cu Kα (weighted mean of Kα1 and Kα2)).
Lines closer than 0.1° are merged.

Largest 8 diffraction maxima, sorted by position, 15 to 90 degrees two-theta:
d [Å], I_rel
4.776, 19
4.091, 25
4.061, 100
3.856, 22
2.806, 19
2.356, 23
2.264, 20
2.030, 14

Cell and atoms:
```
CsK
1.0
2.942 -4.091 0.000
2.942 4.091 0.000
0.000 0.000 7.712
Cs K
1 1
Direct
0.000 0.000 0.000 Cs
0.500 0.500 0.500 K
```